Calculated powder XRD pattern of K2CeF6 for λ = 1.5418 Å (Cu Kα), from a PBE-relaxed structure.
Neutral-atom scattering factors, no anomalous dispersion.

Structure:
a = 6.6258 Å, b = 6.6258 Å, c = 3.7560 Å
α = 90.00°, β = 90.00°, γ = 120.00°
Space group P-62m (No. 189)
Symmetry-distinct sites (fractional):
K  0.3333  0.6667  0.0000 x2
Ce  0.0000  0.0000  0.5000 x1
F  0.0000  0.3371  0.5000 x3
F  0.0000  0.7726  0.0000 x3

Principal peaks in the range 2θ from 15° to 90°, low angle first:
2θ/deg	d [Å]	I_rel	h k l
15.4	5.738	100	1 0 0
26.9	3.313	57	1 1 0
28.4	3.143	73	1 0 1
36.2	2.485	15	1 1 1
39.5	2.280	50	2 0 1
47.5	1.913	28	3 0 0
48.5	1.878	71	0 0 2
63.5	1.465	17	3 1 1
70.2	1.340	20	3 0 2
76.7	1.242	19	3 2 1



Calculated powder XRD pattern of TlPd12Pb6 for λ = 1.5418 Å (Cu Kα), from a PBE-relaxed structure.
Neutral-atom scattering factors, no anomalous dispersion.

Structure:
a = 12.3982 Å, b = 12.3982 Å, c = 8.5551 Å
α = 90.00°, β = 90.00°, γ = 120.00°
Space group R-3 (No. 148, hexagonal axes)
Symmetry-distinct sites (fractional):
Tl  0.0000  0.0000  0.0000 x3
Pd  0.0551  0.8223  0.4107 x18
Pd  0.0561  0.8131  0.0742 x18
Pb  0.0446  0.8216  0.7335 x18

Principal peaks in the range 2θ from 15° to 90°, low angle first:
2θ/deg	d [Å]	I_rel	h k l
24.3	3.667	24	3 -1 1
34.6	2.591	36	1 1 3
38.4	2.343	100	4 1 0
40.4	2.230	36	0 3 3
43.1	2.099	34	2 2 3
50.4	1.810	17	5 -1 3
63.1	1.472	19	7 -2 3
69.5	1.353	15	3 6 0
74.6	1.273	13	8 -7 3
78.5	1.218	16	4 1 6



Calculated powder XRD pattern of In3CuPd3 for λ = 1.5418 Å (Cu Kα), from a PBE-relaxed structure.
Neutral-atom scattering factors, no anomalous dispersion.

Structure:
a = 9.0391 Å, b = 9.0391 Å, c = 5.5873 Å
α = 90.00°, β = 90.00°, γ = 120.00°
Space group R-3m (No. 166, hexagonal axes)
Symmetry-distinct sites (fractional):
In  0.0000  0.5000  0.0000 x9
Cu  0.0000  0.0000  0.0000 x3
Pd  0.0000  0.5000  0.5000 x9

Principal peaks in the range 2θ from 15° to 90°, low angle first:
2θ/deg	d [Å]	I_rel	h k l
19.6	4.520	27	1 1 0
34.4	2.611	9	3 0 0
39.6	2.274	100	2 0 2
39.9	2.260	98	2 2 0
57.5	1.603	33	0 4 2
71.7	1.316	16	0 2 4
72.3	1.307	32	4 2 2
72.4	1.305	16	6 0 0
85.4	1.137	10	4 0 4
86.0	1.130	10	4 4 0



Calculated powder XRD pattern of NaMg2OsO6 for λ = 1.5418 Å (Cu Kα), from a PBE-relaxed structure.
Neutral-atom scattering factors, no anomalous dispersion.

Structure:
a = 5.2925 Å, b = 5.2925 Å, c = 14.4357 Å
α = 90.00°, β = 90.00°, γ = 120.00°
Space group R3 (No. 146, hexagonal axes)
Symmetry-distinct sites (fractional):
Na  0.0000  0.0000  0.0000 x3
Mg  0.0000  0.0000  0.2807 x3
Mg  0.0000  0.0000  0.7900 x3
Os  0.0000  0.0000  0.4783 x3
O  0.0074  0.3122  0.5457 x9
O  0.0363  0.6276  0.0599 x9

Principal peaks in the range 2θ from 15° to 90°, low angle first:
2θ/deg	d [Å]	I_rel	h k l
18.4	4.812	43	0 0 3
20.3	4.369	100	1 0 1
23.0	3.869	77	0 1 2
31.6	2.835	52	1 0 4
33.9	2.646	42	1 1 0
36.8	2.443	18	0 1 5
38.8	2.319	39	2 -1 3
47.0	1.935	19	0 2 4
51.3	1.780	40	2 -1 6
59.2	1.562	19	3 -1 4